This entry pairs a crystal structure of BeGaRh2 with its simulated powder diffractogram. Radiation: CuKα. Structure: the PBE geometry in the Materials Project.
Lines closer than 0.1° are merged.

Principal peaks in the range 2θ from 10° to 90°, most intense first:
d [Å]  2θ/deg  I (rel.)  (hkl)
2.070  43.74  100  2 2 0
1.195  80.35  32  4 2 2
2.927  30.54  28  2 0 0
1.463  63.57  16  4 0 0
3.380  26.37  14  1 1 1
1.309  72.16  9  4 2 0
1.690  54.28  7  2 2 2
1.765  51.80  7  3 1 1
1.343  70.06  3  3 3 1
1.127  86.36  2  5 1 1

Structure:
a = 5.8540 Å, b = 5.8540 Å, c = 5.8540 Å
α = 90.00°, β = 90.00°, γ = 90.00°
Space group Fm-3m (No. 225)
Asymmetric unit:
Be1 0.0000 0.0000 0.0000 (multiplicity 4)
Ga1 0.0000 0.0000 0.5000 (multiplicity 4)
Rh1 0.2500 0.2500 0.2500 (multiplicity 8)